Li3Ni8O4F12: calculated XRD peak list (CuKα), based on the GGA+U geometry in Alexandria.
Neutral-atom scattering factors, no anomalous dispersion.

Largest 10 diffraction maxima, in order of falling intensity, 5° ≤ 2θ ≤ 70°:
- 2.063 Å, intensity 100, (2 2 2)
- 2.158 Å, intensity 58, (4 0 -4)
- 4.765 Å, intensity 57, (0 0 2)
- 9.531 Å, intensity 55, (0 0 1)
- 4.316 Å, intensity 36, (2 0 -2)
- 4.846 Å, intensity 34, (1 1 -1)
- 1.505 Å, intensity 32, (6 2 -2)
- 1.478 Å, intensity 30, (2 2 -6)
- 2.510 Å, intensity 27, (2 2 0)
- 2.906 Å, intensity 18, (2 0 2)

Atomic structure:
```
data_Li3Ni8O4F12
_chemical_formula_sum 'Li6 Ni16 O8 F24'
_cell_length_a 10.5319
_cell_length_b 5.8565
_cell_length_c 10.2862
_cell_angle_alpha 90.00
_cell_angle_beta 112.09
_cell_angle_gamma 90.00
_symmetry_space_group_name_H-M 'C 1 2/m 1'
_symmetry_Int_Tables_number 12
loop_
_symmetry_equiv_pos_as_xyz
'x,y,z'
'-x,-y,-z'
'-x,y,-z'
'x,-y,z'
'x+1/2,y+1/2,z'
'-x+1/2,-y+1/2,-z'
'-x+1/2,y+1/2,-z'
'x+1/2,-y+1/2,z'
loop_
_atom_site_label
_atom_site_fract_x
_atom_site_fract_y
_atom_site_fract_z
_atom_site_occupancy
Li1 0.0000 0.0000 0.0000 1
Li2 0.1882 0.0000 0.5739 1
Ni1 0.0048 0.2511 0.7548 1
Ni2 0.2414 0.5000 0.7377 1
Ni3 0.2500 0.2500 0.0000 1
O1 0.1219 0.0000 0.8883 1
O2 0.1405 0.5000 0.8711 1
F1 0.1170 0.5000 0.3570 1
F2 0.1177 0.2505 0.6343 1
F3 0.1252 0.0000 0.3672 1
F4 0.1246 0.2318 0.1326 1
```